Entry 1:
Diffraction record for MgFe4Te2O12. The powder diffraction line list is theoretical, not measured: it uses a cell relaxed with PBE+U and Cu Ka.
Lines closer than 0.1° are merged.

Structural model:
```
MgFe4Te2O12
1.0
9.008 0.000 0.000
0.000 3.279 4.171
0.000 -3.279 4.171
Mg Fe Te O
1 4 2 12
direct
0.000 0.000 0.000 Mg
0.184 0.721 0.721 Fe
0.341 0.314 0.314 Fe
0.659 0.314 0.314 Fe
0.816 0.721 0.721 Fe
0.000 0.337 0.337 Te
0.500 0.883 0.883 Te
0.000 0.020 0.627 O
0.000 0.627 0.020 O
0.152 0.170 0.170 O
0.163 0.485 0.485 O
0.344 0.007 0.631 O
0.344 0.631 0.007 O
0.500 0.111 0.111 O
0.500 0.458 0.458 O
0.656 0.007 0.631 O
0.656 0.631 0.007 O
0.837 0.485 0.485 O
0.848 0.170 0.170 O
```

Principal peaks in the range 2θ = 10–80°, sorted by position:
| 2θ/deg | Rel. int. |
| --- | --- |
| 19.8 | 61 |
| 21.3 | 100 |
| 27.2 | 94 |
| 29.2 | 33 |
| 34.6 | 83 |
| 53.0 | 46 |

Entry 2:
Diffraction record for Li4MnV3P8O28. The powder diffraction line list is theoretical, not measured: it uses a cell relaxed with PBE+U and Cu Ka.
Lines closer than 0.1° are merged.

Structural model:
```
Li4MnV3P8O28
1.0
7.058 0.000 0.000
-1.473 9.491 0.000
-1.664 -5.011 8.075
Li Mn V P O
4 1 3 8 28
direct
0.000 0.000 0.000 Li
0.001 0.502 0.503 Li
0.345 0.925 0.426 Li
0.348 0.428 0.929 Li
0.940 0.663 0.302 Mn
0.400 0.126 0.266 V
0.401 0.627 0.767 V
0.946 0.163 0.803 V
0.151 0.229 0.550 P
0.155 0.730 0.051 P
0.195 0.880 0.699 P
0.196 0.381 0.200 P
0.585 0.519 0.447 P
0.588 0.021 0.945 P
0.761 0.984 0.409 P
0.762 0.486 0.910 P
0.065 0.482 0.298 O
0.069 0.984 0.800 O
0.153 0.845 0.521 O
0.157 0.344 0.023 O
0.167 0.224 0.708 O
0.178 0.725 0.208 O
0.180 0.222 0.204 O
0.180 0.723 0.705 O
0.188 0.406 0.586 O
0.191 0.906 0.084 O
0.277 0.128 0.447 O
0.278 0.628 0.943 O
0.425 0.992 0.784 O
0.426 0.490 0.285 O
0.517 0.629 0.596 O
0.526 0.131 0.097 O
0.560 0.991 0.327 O
0.561 0.489 0.824 O
0.583 0.350 0.427 O
0.589 0.852 0.926 O
0.759 0.504 0.077 O
0.762 0.002 0.576 O
0.787 0.103 0.941 O
0.787 0.601 0.448 O
0.816 0.829 0.293 O
0.823 0.333 0.799 O
0.920 0.144 0.438 O
0.922 0.646 0.942 O
```

Principal peaks in the range 2θ = 10–80°, sorted by position:
| 2θ/deg | Rel. int. |
| --- | --- |
| 16.9 | 100 |
| 17.1 | 97 |
| 22.4 | 47 |
| 28.9 | 59 |
| 29.0 | 66 |
| 29.3 | 55 |

Entry 3:
Diffraction record for Rb5ErMo4O16. The powder diffraction line list is theoretical, not measured: it uses a cell relaxed with PBE+U and Cu Ka.
Lines closer than 0.1° are merged.

Structural model:
```
Rb5ErMo4O16
1.0
11.652 0.000 0.000
0.000 8.112 0.000
-4.552 0.000 10.483
Rb Er Mo O
10 2 8 32
direct
0.000 0.115 0.250 Rb
0.000 0.885 0.750 Rb
0.091 0.369 0.645 Rb
0.091 0.631 0.145 Rb
0.393 0.149 0.842 Rb
0.393 0.851 0.342 Rb
0.607 0.149 0.658 Rb
0.607 0.851 0.158 Rb
0.909 0.369 0.855 Rb
0.909 0.631 0.355 Rb
0.500 0.406 0.250 Er
0.500 0.594 0.750 Er
0.215 0.150 0.054 Mo
0.215 0.850 0.554 Mo
0.303 0.355 0.443 Mo
0.303 0.645 0.943 Mo
0.697 0.355 0.057 Mo
0.697 0.645 0.557 Mo
0.785 0.150 0.446 Mo
0.785 0.850 0.946 Mo
0.132 0.293 0.110 O
0.132 0.707 0.610 O
0.142 0.405 0.393 O
0.142 0.595 0.893 O
0.149 0.167 0.884 O
0.149 0.833 0.384 O
0.188 0.051 0.601 O
0.188 0.949 0.101 O
0.322 0.144 0.415 O
0.322 0.856 0.915 O
0.373 0.472 0.352 O
0.373 0.528 0.852 O
0.383 0.394 0.615 O
0.383 0.606 0.115 O
0.384 0.208 0.120 O
0.384 0.792 0.620 O
0.616 0.208 0.380 O
0.616 0.792 0.880 O
0.617 0.394 0.885 O
0.617 0.606 0.385 O
0.627 0.472 0.148 O
0.627 0.528 0.648 O
0.678 0.144 0.085 O
0.678 0.856 0.585 O
0.812 0.051 0.899 O
0.812 0.949 0.399 O
0.851 0.167 0.616 O
0.851 0.833 0.116 O
0.858 0.405 0.107 O
0.858 0.595 0.607 O
0.868 0.293 0.390 O
0.868 0.707 0.890 O
```

Principal peaks in the range 2θ = 10–80°, sorted by position:
| 2θ/deg | Rel. int. |
| --- | --- |
| 26.1 | 100 |
| 26.4 | 49 |
| 26.7 | 59 |
| 28.2 | 48 |
| 33.0 | 33 |
| 44.7 | 25 |